Calculated powder X-ray diffraction pattern
Compound: Rb3Tl7Pb2
Radiation: Cu Ka
Structure: DFT lattice parameters and positions (GGA-PBE)

Crystal structure
```
Rb3Tl7Pb2
1.0
4.8928 0.0000 0.0000
-0.0003 6.8362 0.0000
-0.0086 -2.9704 14.3981
Rb Tl Pb
3 7 2
direct
0.0000 0.0000 0.0000
0.0004 0.3378 0.6180
0.9996 0.6622 0.3820
0.0006 0.8774 0.7253
0.4993 0.3391 0.1914
0.4996 0.1553 0.4174
0.5000 0.5000 0.0000
0.5004 0.8447 0.5826
0.5007 0.6609 0.8086
0.9994 0.1226 0.2747
0.4992 0.8389 0.1975
0.5008 0.1611 0.8025
```

Most intense lines, 10° ≤ 2θ ≤ 90°, by intensity:
2θ = 31.02°, d 2.883, I 100, hkl 0 0 5
2θ = 36.74°, d 2.446, I 90, hkl 2 0 0
2θ = 34.66°, d 2.588, I 76, hkl 1 2 -3
2θ = 26.01°, d 3.425, I 64, hkl 1 0 3
2θ = 31.57°, d 2.834, I 64, hkl 1 1 -4
2θ = 36.20°, d 2.482, I 63, hkl 1 0 -5
2θ = 31.67°, d 2.825, I 55, hkl 0 2 2
2θ = 12.29°, d 7.199, I 51, hkl 0 0 2
2θ = 18.13°, d 4.893, I 49, hkl 1 0 0
2θ = 15.68°, d 5.650, I 47, hkl 0 1 1